The following is a calculated PXRD pattern of Sc2MoO5. It was derived from a crystal structure in Alexandria, relaxed with GGA+U, using copper Kα.

Structure:
```
Sc2MoO5
1.0
7.252 0.000 0.000
0.000 3.675 0.000
0.000 0.000 14.476
Sc Mo O
8 4 20
direct
0.071 0.250 0.103
0.140 0.250 0.723
0.360 0.750 0.223
0.429 0.750 0.603
0.571 0.250 0.397
0.640 0.250 0.777
0.860 0.750 0.277
0.929 0.750 0.897
0.130 0.250 0.431
0.370 0.750 0.931
0.630 0.250 0.069
0.870 0.750 0.569
0.045 0.750 0.442
0.087 0.750 0.191
0.133 0.750 0.647
0.136 0.750 0.006
0.186 0.750 0.826
0.314 0.250 0.326
0.364 0.250 0.506
0.367 0.250 0.147
0.413 0.250 0.691
0.455 0.250 0.942
0.545 0.750 0.058
0.587 0.750 0.309
0.633 0.750 0.853
0.636 0.750 0.494
0.686 0.750 0.674
0.814 0.250 0.174
0.864 0.250 0.994
0.867 0.250 0.353
0.913 0.250 0.809
0.955 0.250 0.558
```

Most intense lines, 5 to 70 degrees two-theta, sorted by position:
2theta	d/Å	I_rel	hkl
13.66	6.484	29.2	1 0 1
27.54	3.238	35.4	1 0 4
27.91	3.197	39.2	1 1 1
30.58	2.924	100.0	0 1 3
30.85	2.899	91.4	2 0 3
34.76	2.581	28.1	2 1 0
49.61	1.838	28.7	0 2 0
51.86	1.763	64.6	2 1 6